[1]
Calculated XRD peak list
Compound: AcHg5Au
Radiation: Cu Ka
Structure: a cell relaxed with PBE
Lines closer than 0.1° are merged.

Principal peaks in the range 2θ from 5° to 70°, by angle:
(1 1 1), 2θ = 27.5°, intensity 22.0
(1 1 2), 2θ = 34.7°, intensity 100.0
(2 0 0), 2θ = 35.2°, intensity 58.3
(2 2 0), 2θ = 50.6°, intensity 21.2
(2 0 3), 2θ = 51.4°, intensity 13.9
(3 1 2), 2θ = 62.8°, intensity 36.9

Atomic structure:
```
data_AcHg5Au
_cell_length_a 5.1058
_cell_length_b 5.1058
_cell_length_c 7.4273
_cell_angle_alpha 90.00
_cell_angle_beta 90.00
_cell_angle_gamma 90.00
_space_group_name_H-M_alt 'P 4/m m m'
_space_group_IT_number 123
_space_group_name_Hall '-P 4 2'
loop_
_atom_site_label
_atom_site_type_symbol
_atom_site_fract_x
_atom_site_fract_y
_atom_site_fract_z
Ac1 Ac 0.0000 0.0000 0.0000
Hg1 Hg 0.0000 0.5000 0.2959
Hg2 Hg 0.5000 0.5000 0.0000
Au1 Au 0.0000 0.0000 0.5000
```

---

[2]
Calculated XRD peak list
Compound: Ac2Hg6Au3
Radiation: Cu Ka
Structure: a cell relaxed with PBE
Lines closer than 0.1° are merged.

Principal peaks in the range 2θ from 5° to 70°, by angle:
(1 1 1), 2θ = 28.8°, intensity 88.8
(2 1 0), 2θ = 31.4°, intensity 32.1
(3 0 0), 2θ = 35.8°, intensity 28.2
(2 1 1), 2θ = 37.5°, intensity 100.0
(0 0 2), 2θ = 40.7°, intensity 31.3
(3 1 0), 2θ = 43.3°, intensity 23.7

Atomic structure:
```
data_Ac2Hg6Au3
_cell_length_a 8.6981
_cell_length_b 8.6981
_cell_length_c 4.4315
_cell_angle_alpha 90.00
_cell_angle_beta 90.00
_cell_angle_gamma 120.00
_space_group_name_H-M_alt 'P -6 2 m'
_space_group_IT_number 189
_space_group_name_Hall 'P -6 -2'
loop_
_atom_site_label
_atom_site_type_symbol
_atom_site_fract_x
_atom_site_fract_y
_atom_site_fract_z
Ac1 Ac 0.3333 0.6667 0.0000
Hg1 Hg 0.0000 0.1994 0.0000
Hg2 Hg 0.0000 0.7200 0.5000
Au1 Au 0.0000 0.4030 0.5000
```

---

[3]
Calculated XRD peak list
Compound: Ac2Hg5Au3
Radiation: Cu Ka
Structure: a cell relaxed with PBE
Lines closer than 0.1° are merged.

Principal peaks in the range 2θ from 5° to 70°, by angle:
(2 3 1), 2θ = 28.6°, intensity 71.0
(0 2 2), 2θ = 31.2°, intensity 95.7
(4 2 0), 2θ = 31.5°, intensity 93.2
(2 5 1), 2θ = 40.1°, intensity 71.3
(4 0 2), 2θ = 40.2°, intensity 100.0
(0 0 4), 2θ = 57.9°, intensity 42.4

Atomic structure:
```
data_Ac2Hg5Au3
_cell_length_a 12.6206
_cell_length_b 12.9972
_cell_length_c 6.3769
_cell_angle_alpha 90.00
_cell_angle_beta 90.00
_cell_angle_gamma 90.00
_space_group_name_H-M_alt 'I b a m'
_space_group_IT_number 72
_space_group_name_Hall '-I 2 2c'
loop_
_atom_site_label
_atom_site_type_symbol
_atom_site_fract_x
_atom_site_fract_y
_atom_site_fract_z
Ac1 Ac 0.1264 0.2470 0.0000
Hg1 Hg 0.0000 0.0000 0.2500
Hg2 Hg 0.1188 0.3617 0.5000
Hg3 Hg 0.2459 0.0000 0.2500
Au1 Au 0.0000 0.5000 0.2500
Au2 Au 0.1248 0.1486 0.5000
```